(1)
The following is a calculated powder diffractogram of ZnGaSnO4. It was derived from a DFT-relaxed cell (PBE, OQMD), using a wavelength of 1.5418 Å.

a = 6.220 Å, b = 6.220 Å, c = 8.718 Å
α = 90.00°, β = 90.00°, γ = 90.00°
Fractional coordinates of all 28 atoms:
Zn (0.247, 0.247, 0.375)
Zn (0.247, 0.753, 0.125)
Zn (0.753, 0.247, 0.625)
Zn (0.753, 0.753, 0.875)
Ga (0.000, 0.235, 0.000)
Ga (0.000, 0.765, 0.500)
Ga (0.235, 0.000, 0.750)
Ga (0.765, 0.000, 0.250)
Sn (0.237, 0.500, 0.750)
Sn (0.500, 0.237, 0.000)
Sn (0.500, 0.763, 0.500)
Sn (0.763, 0.500, 0.250)
O (0.011, 0.232, 0.769)
O (0.011, 0.768, 0.731)
O (0.229, 0.472, 0.004)
O (0.229, 0.528, 0.496)
O (0.232, 0.011, 0.981)
O (0.232, 0.989, 0.519)
O (0.472, 0.229, 0.746)
O (0.472, 0.771, 0.754)
O (0.528, 0.229, 0.254)
O (0.528, 0.771, 0.246)
O (0.768, 0.011, 0.019)
O (0.768, 0.989, 0.481)
O (0.771, 0.472, 0.996)
O (0.771, 0.528, 0.504)
O (0.989, 0.232, 0.231)
O (0.989, 0.768, 0.269)

Top 6 peaks for 2θ from 5° to 70°, sorted by position:
2θ = 17.5°, 5.064 Å, intensity 32
2θ = 33.8°, 2.650 Å, intensity 100
2θ = 34.1°, 2.633 Å, intensity 50
2θ = 35.5°, 2.532 Å, intensity 35
2θ = 54.2°, 1.692 Å, intensity 29
2θ = 59.7°, 1.548 Å, intensity 44

---

(2)
The following is a calculated powder diffractogram of ZnGaSnO4. It was derived from a DFT-relaxed cell (PBE, OQMD), using a wavelength of 1.5418 Å.

a = 6.189 Å, b = 6.189 Å, c = 8.737 Å
α = 90.00°, β = 90.00°, γ = 90.00°
Fractional coordinates of all 28 atoms:
Zn (0.000, 0.232, 0.000)
Zn (0.000, 0.768, 0.500)
Zn (0.232, 0.000, 0.750)
Zn (0.768, 0.000, 0.250)
Ga (0.247, 0.247, 0.375)
Ga (0.247, 0.753, 0.125)
Ga (0.753, 0.247, 0.625)
Ga (0.753, 0.753, 0.875)
Sn (0.234, 0.500, 0.750)
Sn (0.500, 0.234, 0.000)
Sn (0.500, 0.766, 0.500)
Sn (0.766, 0.500, 0.250)
O (0.001, 0.245, 0.243)
O (0.001, 0.755, 0.257)
O (0.243, 0.495, 0.003)
O (0.243, 0.505, 0.497)
O (0.245, 0.001, 0.507)
O (0.245, 0.999, 0.993)
O (0.495, 0.243, 0.747)
O (0.495, 0.757, 0.753)
O (0.505, 0.243, 0.253)
O (0.505, 0.757, 0.247)
O (0.755, 0.001, 0.493)
O (0.755, 0.999, 0.007)
O (0.757, 0.495, 0.997)
O (0.757, 0.505, 0.503)
O (0.999, 0.245, 0.757)
O (0.999, 0.755, 0.743)

Top 6 peaks for 2θ from 5° to 70°, sorted by position:
2θ = 28.9°, 3.093 Å, intensity 19
2θ = 34.0°, 2.638 Å, intensity 100
2θ = 35.6°, 2.525 Å, intensity 21
2θ = 41.3°, 2.187 Å, intensity 22
2θ = 54.5°, 1.683 Å, intensity 33
2θ = 59.8°, 1.546 Å, intensity 44

---

(3)
The following is a calculated powder diffractogram of Tb3GaO6. It was derived from a DFT-relaxed cell (PBE, OQMD), using a wavelength of 1.5418 Å.

a = 7.119 Å, b = 7.119 Å, c = 5.424 Å
α = 90.00°, β = 90.00°, γ = 102.79°
Fractional coordinates of all 20 atoms:
Tb (0.103, 0.897, 0.500)
Tb (0.202, 0.413, 0.452)
Tb (0.413, 0.202, 0.952)
Tb (0.587, 0.798, 0.452)
Tb (0.798, 0.587, 0.952)
Tb (0.897, 0.103, 0.000)
Ga (0.307, 0.693, 0.922)
Ga (0.693, 0.307, 0.422)
O (0.078, 0.605, 0.743)
O (0.144, 0.176, 0.725)
O (0.176, 0.144, 0.225)
O (0.283, 0.717, 0.258)
O (0.395, 0.922, 0.743)
O (0.462, 0.538, 0.781)
O (0.538, 0.462, 0.281)
O (0.605, 0.078, 0.243)
O (0.717, 0.283, 0.758)
O (0.824, 0.856, 0.725)
O (0.856, 0.824, 0.225)
O (0.922, 0.395, 0.243)

Top 6 peaks for 2θ from 5° to 70°, sorted by position:
2θ = 30.6°, 2.924 Å, intensity 100
2θ = 30.9°, 2.895 Å, intensity 41
2θ = 33.0°, 2.712 Å, intensity 21
2θ = 46.1°, 1.969 Å, intensity 23
2θ = 46.8°, 1.942 Å, intensity 18
2θ = 51.4°, 1.779 Å, intensity 23